No. 1
Theoretical XRD peak list
Compound: BH3Pd9
Radiation: copper Kα
Structure: a DFT-relaxed cell (PBE, Alexandria)

Structural model:
a b c (Å): 4.9137 7.9001 8.3573
angles (deg): 90.00 106.43 90.00
Space group P2_1 (No. 4)
Symmetry-distinct sites (fractional):
B 0.0416 0.0000 0.0953 (multiplicity 2)
H 0.2961 0.7907 0.8096 (multiplicity 2)
H 0.3082 0.2145 0.8146 (multiplicity 2)
H 0.4733 0.6026 0.5733 (multiplicity 2)
Pd 0.0510 0.8237 0.2921 (multiplicity 2)
Pd 0.0556 0.1769 0.2936 (multiplicity 2)
Pd 0.1517 0.4988 0.4631 (multiplicity 2)
Pd 0.1743 0.0020 0.8688 (multiplicity 2)
Pd 0.2702 0.6786 0.0416 (multiplicity 2)
Pd 0.2722 0.3258 0.0432 (multiplicity 2)
Pd 0.3950 0.8294 0.6198 (multiplicity 2)
Pd 0.3991 0.1755 0.6216 (multiplicity 2)
Pd 0.4955 0.0003 0.2053 (multiplicity 2)

Largest 10 diffraction maxima, by angle, 2θ from 5° to 70°:
2theta	intensity	(hkl)
35.13	23	1 1 2
35.47	26	0 1 3
38.45	46	2 0 -2
39.25	100	1 3 -1
40.47	28	1 2 2
40.77	27	0 2 3
44.54	18	2 1 1
45.36	17	1 1 -4
49.79	10	1 2 -4
66.73	11	1 0 5


No. 2
Theoretical XRD peak list
Compound: CsCd2In4
Radiation: copper Kα
Structure: a DFT-relaxed cell (PBE, Alexandria)

Structural model:
a b c (Å): 5.1054 16.7663 5.1248
angles (deg): 90.00 90.00 90.00
Space group Cmmm (No. 65)
Symmetry-distinct sites (fractional):
Cs 0.0000 0.0000 0.0000 (multiplicity 2)
Cd 0.0000 0.4123 0.5000 (multiplicity 4)
In 0.0000 0.1866 0.5000 (multiplicity 4)
In 0.0000 0.3083 0.0000 (multiplicity 4)

Largest 10 diffraction maxima, by angle, 2θ from 5° to 70°:
2theta	intensity	(hkl)
27.49	18	0 4 1
29.42	100	1 3 1
31.95	18	1 5 0
35.02	37	0 0 2
35.16	37	2 0 0
36.55	63	1 5 1
50.46	26	2 0 2
55.50	13	1 7 2
59.40	13	1 3 3
59.59	13	3 3 1


No. 3
Theoretical XRD peak list
Compound: PmTiIrO6
Radiation: copper Kα
Structure: a DFT-relaxed cell (PBE, Alexandria)

Structural model:
a b c (Å): 5.1953 5.1953 10.1638
angles (deg): 90.00 90.00 120.00
Space group P-31c (No. 163)
Symmetry-distinct sites (fractional):
Pm 0.0000 0.0000 0.0000 (multiplicity 2)
Ti 0.3333 0.6667 0.2500 (multiplicity 2)
Ir 0.3333 0.6667 0.7500 (multiplicity 2)
O 0.0006 0.3618 0.1437 (multiplicity 12)

Largest 10 diffraction maxima, by angle, 2θ from 5° to 70°:
2theta	intensity	(hkl)
21.60	33	1 0 1
26.46	100	1 0 2
33.10	12	1 0 3
34.53	39	1 1 0
35.32	9	0 0 4
44.02	24	2 0 2
50.23	43	1 1 4
57.12	23	2 1 2
58.19	10	1 0 6
61.87	13	3 0 0


No. 4
Theoretical XRD peak list
Compound: Pm12NdDy3
Radiation: copper Kα
Structure: a DFT-relaxed cell (PBE, Alexandria)

Structural model:
a b c (Å): 5.1366 5.1366 20.5094
angles (deg): 90.00 90.00 90.00
Space group P4/mmm (No. 123)
Symmetry-distinct sites (fractional):
Pm 0.0000 0.0000 0.0000 (multiplicity 1)
Pm 0.0000 0.0000 0.2485 (multiplicity 2)
Pm 0.0000 0.0000 0.5000 (multiplicity 1)
Pm 0.0000 0.5000 0.1245 (multiplicity 4)
Pm 0.0000 0.5000 0.3734 (multiplicity 4)
Nd 0.5000 0.5000 0.5000 (multiplicity 1)
Dy 0.5000 0.5000 0.0000 (multiplicity 1)
Dy 0.5000 0.5000 0.2489 (multiplicity 2)

Largest 5 diffraction maxima, by angle, 2θ from 5° to 70°:
2theta	intensity	(hkl)
30.15	100	1 1 4
34.96	51	2 0 0
50.27	36	2 2 0
59.75	43	3 1 4
62.69	12	2 2 8


No. 5
Theoretical XRD peak list
Compound: Ca2Bi3Au10
Radiation: copper Kα
Structure: a DFT-relaxed cell (PBE, Alexandria)

Structural model:
a b c (Å): 5.6904 5.6904 70.4440
angles (deg): 90.00 90.00 120.00
Space group R3m (No. 160, hexagonal axes)
Symmetry-distinct sites (fractional):
Ca 0.0000 0.0000 0.0000 (multiplicity 3)
Ca 0.0000 0.0000 0.1989 (multiplicity 3)
Ca 0.0000 0.0000 0.3990 (multiplicity 3)
Ca 0.0000 0.0000 0.7983 (multiplicity 3)
Bi 0.0000 0.0000 0.0492 (multiplicity 3)
Bi 0.0000 0.0000 0.2496 (multiplicity 3)
Bi 0.0000 0.0000 0.4489 (multiplicity 3)
Bi 0.0000 0.0000 0.5982 (multiplicity 3)
Bi 0.0000 0.0000 0.6453 (multiplicity 3)
Bi 0.0000 0.0000 0.8474 (multiplicity 3)
Au 0.0000 0.0000 0.1239 (multiplicity 3)
Au 0.0000 0.0000 0.3240 (multiplicity 3)
Au 0.0000 0.0000 0.5238 (multiplicity 3)
Au 0.0000 0.0000 0.7239 (multiplicity 3)
Au 0.0000 0.0000 0.9237 (multiplicity 3)
Au 0.9998 0.4999 0.2236 (multiplicity 9)
Au 0.0013 0.5006 0.4238 (multiplicity 9)
Au 0.0013 0.5007 0.8238 (multiplicity 9)
Au 0.0019 0.5009 0.6242 (multiplicity 9)
Au 0.1672 0.3343 0.3569 (multiplicity 9)

Largest 10 diffraction maxima, by angle, 2θ from 5° to 70°:
2theta	intensity	(hkl)
19.08	21	0 1 5
36.74	35	1 0 25
36.97	100	2 0 5
38.33	17	0 0 30
38.71	54	0 2 10
44.89	15	2 0 20
59.49	18	2 1 25
59.63	17	3 0 15
65.10	21	0 2 40
65.63	21	2 2 0


No. 6
Theoretical XRD peak list
Compound: Ce2Ho7Er
Radiation: copper Kα
Structure: a DFT-relaxed cell (PBE, Alexandria)

Structural model:
a b c (Å): 5.3775 6.9763 16.5761
angles (deg): 90.00 90.00 90.00
Space group Immm (No. 71)
Symmetry-distinct sites (fractional):
Ce 0.0000 0.0000 0.1986 (multiplicity 4)
Ho 0.0000 0.0000 0.0000 (multiplicity 2)
Ho 0.0000 0.2488 0.3932 (multiplicity 8)
Ho 0.0000 0.5000 0.2013 (multiplicity 4)
Er 0.0000 0.5000 0.0000 (multiplicity 2)

Largest 10 diffraction maxima, by angle, 2θ from 5° to 70°:
2theta	intensity	(hkl)
31.03	90	1 2 1
31.71	100	1 0 5
33.32	45	2 0 0
33.58	42	0 2 4
41.70	17	0 2 6
48.04	31	2 2 4
58.13	16	3 2 1
58.54	18	3 0 5
59.28	18	1 2 9
62.61	32	1 4 5


No. 7
Theoretical XRD peak list
Compound: Tb3Nd2SmAs6
Radiation: copper Kα
Structure: a DFT-relaxed cell (PBE, Alexandria)

Structural model:
a b c (Å): 18.2867 4.1984 8.3901
angles (deg): 90.00 103.24 90.00
Space group C2/m (No. 12)
Symmetry-distinct sites (fractional):
Tb 0.0000 0.0000 0.0000 (multiplicity 2)
Tb 0.1668 0.5000 0.3334 (multiplicity 4)
Nd 0.1663 0.5000 0.8327 (multiplicity 4)
Sm 0.0000 0.0000 0.5000 (multiplicity 2)
As 0.0020 0.5000 0.2480 (multiplicity 4)
As 0.1649 0.0000 0.0877 (multiplicity 4)
As 0.1676 0.0000 0.5781 (multiplicity 4)

Largest 7 diffraction maxima, by angle, 2θ from 5° to 70°:
2theta	intensity	(hkl)
26.01	20	4 0 -2
30.12	100	6 0 0
43.11	75	5 1 2
51.04	10	10 0 -2
53.49	26	6 2 0
62.61	12	12 0 0
68.98	4	11 1 -4


No. 8
Theoretical XRD peak list
Compound: CeNb
Radiation: copper Kα
Structure: a DFT-relaxed cell (PBE, Alexandria)

Structural model:
a b c (Å): 3.2767 4.6479 5.9236
angles (deg): 90.00 103.33 90.00
Space group P2_1/m (No. 11)
Symmetry-distinct sites (fractional):
Ce 0.2467 0.2500 0.1449 (multiplicity 2)
Nb 0.2283 0.2500 0.5924 (multiplicity 2)

Largest 10 diffraction maxima, by angle, 2θ from 5° to 70°:
2theta	intensity	(hkl)
24.60	14	0 1 1
34.10	100	1 1 0
36.69	74	0 1 2
36.91	38	1 0 -2
38.75	35	0 2 0
47.13	17	1 0 2
54.58	24	1 2 -2
62.60	15	1 2 2
63.03	16	2 1 -2
67.17	15	1 3 0